(1)
CeNdAsO2: calculated X-ray diffraction stick pattern (Cu Kα X-rays), based on the PBE geometry in Alexandria.
Intensities are scaled so that the largest is 100.

Most intense lines, 10° ≤ 2θ ≤ 90°, in order of rising 2θ:
2theta  I/Imax  (hkl)
23.88  13  1 0 1
31.39  100  1 0 3
32.44  41  1 1 0
46.53  21  2 0 0
55.21  18  1 1 6
57.21  36  2 1 3

abc: 3.9033 3.9033 12.5101
angles: 90.00 90.00 90.00
Space group I4mm (No. 107)
Asymmetric unit:
Ce 0.0000 0.0000 0.0000 (multiplicity 2)
Nd 0.0000 0.0000 0.2998 (multiplicity 2)
As 0.0000 0.0000 0.6472 (multiplicity 2)
O 0.0000 0.5000 0.4060 (multiplicity 4)

***

(2)
Ta3Mo5: calculated X-ray diffraction stick pattern (Cu Kα X-rays), based on the PBE geometry in Alexandria.
Intensities are scaled so that the largest is 100.

Most intense lines, 10° ≤ 2θ ≤ 90°, in order of rising 2θ:
2theta  I/Imax  (hkl)
39.41  25  0 0 4
39.65  100  1 1 2
39.91  25  0 2 0
57.33  25  2 0 0
71.62  17  1 1 6
72.30  17  1 3 2

abc: 3.2152 4.5179 9.1465
angles: 90.00 90.00 90.00
Space group Pmmm (No. 47)
Asymmetric unit:
Ta 0.0000 0.0000 0.0000 (multiplicity 1)
Ta 0.5000 0.0000 0.2566 (multiplicity 2)
Mo 0.0000 0.0000 0.5000 (multiplicity 1)
Mo 0.0000 0.5000 0.2515 (multiplicity 2)
Mo 0.5000 0.5000 0.0000 (multiplicity 1)
Mo 0.5000 0.5000 0.5000 (multiplicity 1)

***

(3)
Ce2PuPa2Rh5: calculated X-ray diffraction stick pattern (Cu Kα X-rays), based on the PBE geometry in Alexandria.
Intensities are scaled so that the largest is 100.

Most intense lines, 10° ≤ 2θ ≤ 90°, in order of rising 2θ:
2theta  I/Imax  (hkl)
18.21  16  2 1 0
25.86  20  3 1 0
34.94  14  3 3 0
36.06  100  3 1 1
36.90  16  4 2 0
38.89  15  3 2 1

abc: 10.8950 10.8950 3.6046
angles: 90.00 90.00 90.00
Space group P4/mbm (No. 127)
Asymmetric unit:
Ce 0.1648 0.3352 0.0000 (multiplicity 4)
Pu 0.0000 0.0000 0.0000 (multiplicity 2)
Pa 0.1432 0.6432 0.0000 (multiplicity 4)
Rh 0.0000 0.5000 0.5000 (multiplicity 2)
Rh 0.0656 0.8105 0.5000 (multiplicity 8)

***

(4)
TbHo5Er4: calculated X-ray diffraction stick pattern (Cu Kα X-rays), based on the PBE geometry in Alexandria.
Intensities are scaled so that the largest is 100.

Most intense lines, 10° ≤ 2θ ≤ 90°, in order of rising 2θ:
2theta  I/Imax  (hkl)
31.20  100  2 0 1
36.15  34  2 2 0
36.25  17  -1 2 1
52.07  24  3 2 3
61.94  25  4 2 1
62.05  14  3 0 4

abc: 6.0843 7.0179 7.8550
angles: 77.13 75.07 73.08
Space group P1 (No. 1)
Asymmetric unit:
Tb 0.0000 0.0000 0.0000 (multiplicity 1)
Ho 0.9999 0.4999 0.0000 (multiplicity 1)
Ho 0.1999 0.7999 0.5994 (multiplicity 1)
Ho 0.4000 0.1002 0.2003 (multiplicity 1)
Ho 0.5996 0.4004 0.7994 (multiplicity 1)
Ho 0.5999 0.9001 0.7995 (multiplicity 1)
Er 0.1996 0.3004 0.5994 (multiplicity 1)
Er 0.4001 0.5998 0.2004 (multiplicity 1)
Er 0.7997 0.2004 0.3998 (multiplicity 1)
Er 0.8000 0.6998 0.4000 (multiplicity 1)

***

(5)
Tm3Cu6Sn5: calculated X-ray diffraction stick pattern (Cu Kα X-rays), based on the PBE geometry in Alexandria.
Intensities are scaled so that the largest is 100.

Most intense lines, 10° ≤ 2θ ≤ 90°, in order of rising 2θ:
2theta  I/Imax  (hkl)
29.64  76  1 0 3
34.18  76  1 3 0
34.44  62  0 3 3
34.82  100  1 2 3
37.09  46  1 3 2
41.97  64  2 0 0

abc: 4.3049 9.9277 12.6639
angles: 90.00 90.00 90.00
Space group Immm (No. 71)
Asymmetric unit:
Tm 0.0000 0.0000 0.0000 (multiplicity 2)
Tm 0.0000 0.0000 0.3099 (multiplicity 4)
Cu 0.0000 0.1866 0.5000 (multiplicity 4)
Cu 0.0000 0.2868 0.1264 (multiplicity 8)
Sn 0.0000 0.3526 0.3366 (multiplicity 8)
Sn 0.0000 0.5000 0.0000 (multiplicity 2)

***

(6)
Ce2Pr3TmSe6: calculated X-ray diffraction stick pattern (Cu Kα X-rays), based on the PBE geometry in Alexandria.
Intensities are scaled so that the largest is 100.

Most intense lines, 10° ≤ 2θ ≤ 90°, in order of rising 2θ:
2theta  I/Imax  (hkl)
26.00  12  2 0 0
30.06  100  1 3 1
42.93  37  1 3 -3
43.14  37  0 6 0
53.44  13  2 6 -2
71.04  16  5 3 -3

abc: 7.2595 12.5911 7.3118
angles: 90.00 109.43 90.00
Space group C2/m (No. 12)
Asymmetric unit:
Ce 0.0000 0.1659 0.0000 (multiplicity 4)
Pr 0.0000 0.0000 0.5000 (multiplicity 2)
Pr 0.0000 0.3303 0.5000 (multiplicity 4)
Tm 0.0000 0.5000 0.0000 (multiplicity 2)
Se 0.2409 0.3378 0.2375 (multiplicity 8)
Se 0.2432 0.5000 0.7587 (multiplicity 4)

***

(7)
Cs2Sb2I7: calculated X-ray diffraction stick pattern (Cu Kα X-rays), based on the PBE geometry in Alexandria.
Intensities are scaled so that the largest is 100.

Most intense lines, 10° ≤ 2θ ≤ 90°, in order of rising 2θ:
2theta  I/Imax  (hkl)
19.85  29  2 0 -1
22.68  29  1 1 1
25.18  71  3 1 -1
26.13  33  1 3 1
27.38  100  0 6 0
29.43  33  2 2 1

abc: 11.9338 19.5559 5.1317
angles: 90.00 109.18 90.00
Space group C2/m (No. 12)
Asymmetric unit:
Cs 0.0000 0.1919 0.0000 (multiplicity 4)
Sb 0.1910 0.5000 0.1969 (multiplicity 4)
I 0.0000 0.5000 0.5000 (multiplicity 2)
I 0.1399 0.0000 0.2650 (multiplicity 4)
I 0.2204 0.3458 0.2106 (multiplicity 8)

***

(8)
BeTeF: calculated X-ray diffraction stick pattern (Cu Kα X-rays), based on the PBE geometry in Alexandria.
Intensities are scaled so that the largest is 100.

Most intense lines, 10° ≤ 2θ ≤ 90°, in order of rising 2θ:
2theta  I/Imax  (hkl)
19.16  57  1 1 -1
23.45  34  3 1 -1
25.49  53  4 0 0
31.48  100  3 1 1
33.37  55  2 0 -4
40.54  31  0 2 2

abc: 17.1272 5.0918 11.2171
angles: 90.00 125.29 90.00
Space group Cc (No. 9)
Asymmetric unit:
Be 0.0000 0.1165 0.0000 (multiplicity 4)
Be 0.1487 0.2482 0.9530 (multiplicity 4)
Be 0.2237 0.2504 0.6267 (multiplicity 4)
Te 0.1155 0.1839 0.7066 (multiplicity 4)
Te 0.3981 0.2788 0.8117 (multiplicity 4)
Te 0.4129 0.0339 0.5310 (multiplicity 4)
F 0.0537 0.2432 0.9403 (multiplicity 4)
F 0.1964 0.4806 0.5174 (multiplicity 4)
F 0.2129 0.0168 0.0496 (multiplicity 4)

***

(9)
Cr2CoNi9: calculated X-ray diffraction stick pattern (Cu Kα X-rays), based on the PBE geometry in Alexandria.
Intensities are scaled so that the largest is 100.

Most intense lines, 10° ≤ 2θ ≤ 90°, in order of rising 2θ:
2theta  I/Imax  (hkl)
44.29  100  1 1 3
51.47  16  0 0 6
51.68  31  2 0 0
75.93  18  2 0 6
76.10  9  2 2 0

abc: 3.5377 3.5377 10.6534
angles: 90.00 90.00 90.00
Space group P4/mmm (No. 123)
Asymmetric unit:
Cr 0.0000 0.0000 0.1673 (multiplicity 2)
Co 0.0000 0.0000 0.5000 (multiplicity 1)
Ni 0.0000 0.5000 0.0000 (multiplicity 2)
Ni 0.0000 0.5000 0.3355 (multiplicity 4)
Ni 0.5000 0.5000 0.1671 (multiplicity 2)
Ni 0.5000 0.5000 0.5000 (multiplicity 1)

***

(10)
NdMg3Se4O12: calculated X-ray diffraction stick pattern (Cu Kα X-rays), based on the PBE geometry in Alexandria.
Intensities are scaled so that the largest is 100.

Most intense lines, 10° ≤ 2θ ≤ 90°, in order of rising 2θ:
2theta  I/Imax  (hkl)
16.49  45  1 1 0
27.69  37  2 1 1
28.76  64  3 0 0
29.44  100  2 0 2
33.92  45  1 2 2
48.29  42  2 3 2

abc: 10.7531 10.7531 8.0010
angles: 90.00 90.00 120.00
Space group R32 (No. 155, hexagonal axes)
Asymmetric unit:
Nd 0.0000 0.0000 0.0000 (multiplicity 3)
Mg 0.0000 0.5778 0.0000 (multiplicity 9)
Se 0.0000 0.0000 0.5000 (multiplicity 3)
Se 0.0000 0.3948 0.5000 (multiplicity 9)
O 0.0000 0.5551 0.5000 (multiplicity 9)
O 0.0000 0.8277 0.5000 (multiplicity 9)
O 0.0544 0.1912 0.1957 (multiplicity 18)

***

(11)
TbNd2Se4: calculated X-ray diffraction stick pattern (Cu Kα X-rays), based on the PBE geometry in Alexandria.
Intensities are scaled so that the largest is 100.

Most intense lines, 10° ≤ 2θ ≤ 90°, in order of rising 2θ:
2theta  I/Imax  (hkl)
22.80  99  0 2 3
28.35  38  0 2 4
29.97  69  1 3 1
31.96  100  1 3 2
39.49  54  1 1 5
43.39  45  0 6 3

abc: 4.0390 13.9617 14.1090
angles: 90.00 90.00 90.00
Space group Cmcm (No. 63)
Asymmetric unit:
Tb 0.0000 0.1276 0.2500 (multiplicity 4)
Nd 0.0000 0.3699 0.0715 (multiplicity 8)
Se 0.0000 0.0000 0.0000 (multiplicity 4)
Se 0.0000 0.2802 0.6254 (multiplicity 8)
Se 0.0000 0.4789 0.2500 (multiplicity 4)

***

(12)
Na6Sn2S7: calculated X-ray diffraction stick pattern (Cu Kα X-rays), based on the PBE geometry in Alexandria.
Intensities are scaled so that the largest is 100.

Most intense lines, 10° ≤ 2θ ≤ 90°, in order of rising 2θ:
2theta  I/Imax  (hkl)
15.61  100  1 1 -2
17.47  59  0 2 1
19.09  63  1 1 2
24.07  60  0 0 4
33.74  62  1 3 3
34.60  49  0 2 5

abc: 9.5376 10.8143 15.2950
angles: 90.00 105.03 90.00
Space group C2/c (No. 15)
Asymmetric unit:
Na 0.0000 0.0000 0.0000 (multiplicity 4)
Na 0.0000 0.0688 0.2500 (multiplicity 4)
Na 0.0965 0.3568 0.5740 (multiplicity 8)
Na 0.2309 0.2294 0.8634 (multiplicity 8)
Sn 0.1597 0.4107 0.3631 (multiplicity 8)
S 0.0000 0.4544 0.7500 (multiplicity 4)
S 0.0415 0.2292 0.3971 (multiplicity 8)
S 0.1233 0.1357 0.6812 (multiplicity 8)
S 0.2043 0.4382 0.9835 (multiplicity 8)